[1]
Computed powder diffraction line list of Sc5Co4Ni for CuKα, from a DFT-relaxed cell (PBE, Alexandria).

Main lines, sorted by position (10° ≤ 2θ ≤ 80°):
2θ 28.46, d 3.137, I = 3.7, hkl 0 0 5; 2θ 40.68, d 2.218, I = 100.0, hkl 1 1 0; 2θ 50.39, d 1.811, I = 1.1, hkl 1 1 5; 2θ 58.82, d 1.570, I = 10.3, hkl 2 0 0; 2θ 59.03, d 1.565, I = 5.0, hkl 0 0 10; 2θ 66.62, d 1.404, I = 0.9, hkl 2 0 5; 2θ 73.98, d 1.281, I = 19.4, hkl 2 1 5; 2θ 74.13, d 1.279, I = 9.6, hkl 1 1 10

Crystal structure
Cell lengths 3.140, 3.140, 15.649 Å; angles 90.00, 90.00, 90.00 degrees
Space group P4/mmm (No. 123)
One atom of each set of equivalent atoms:
Sc: 0.000 0.000 0.000 [1 per cell]
Sc: 0.000 0.000 0.199 [2 per cell]
Sc: 0.000 0.000 0.397 [2 per cell]
Co: 0.500 0.500 0.100 [2 per cell]
Co: 0.500 0.500 0.301 [2 per cell]
Ni: 0.500 0.500 0.500 [1 per cell]

[2]
Computed powder diffraction line list of ScCoNi2 for CuKα, from a DFT-relaxed cell (PBE, Alexandria).

Main lines, sorted by position (10° ≤ 2θ ≤ 80°):
2θ 15.49, d 5.719, I = 51.4, hkl 0 0 2; 2θ 20.67, d 4.297, I = 100.0, hkl 1 0 1; 2θ 32.05, d 2.792, I = 44.0, hkl 1 1 2; 2θ 36.67, d 2.451, I = 39.9, hkl 1 1 3; 2θ 36.93, d 2.434, I = 46.5, hkl 1 0 4; 2θ 42.40, d 2.132, I = 37.4, hkl 1 1 4; 2θ 44.85, d 2.021, I = 84.0, hkl 2 1 1; 2θ 48.31, d 1.884, I = 66.4, hkl 1 2 2; 2θ 50.49, d 1.808, I = 40.9, hkl 2 1 3; 2θ 50.69, d 1.801, I = 45.2, hkl 2 0 4

Crystal structure
Cell lengths 4.637, 4.421, 11.437 Å; angles 90.00, 90.00, 90.00 degrees
Space group Pmma (No. 51)
One atom of each set of equivalent atoms:
Sc: 0.250 0.000 0.094 [2 per cell]
Sc: 0.250 0.500 0.323 [2 per cell]
Co: 0.250 0.000 0.672 [2 per cell]
Co: 0.250 0.500 0.550 [2 per cell]
Ni: 0.000 0.000 0.500 [2 per cell]
Ni: 0.000 0.500 0.000 [2 per cell]
Ni: 0.250 0.255 0.843 [4 per cell]

[3]
Computed powder diffraction line list of Sc4CoNi for CuKα, from a DFT-relaxed cell (PBE, Alexandria).

Main lines, sorted by position (10° ≤ 2θ ≤ 80°):
2θ 14.68, d 6.036, I = 57.0, hkl 0 2 0; 2θ 17.56, d 5.050, I = 46.1, hkl 1 1 -1; 2θ 33.92, d 2.643, I = 100.0, hkl 3 1 -1; 2θ 35.26, d 2.545, I = 88.6, hkl 0 4 1; 2θ 38.00, d 2.368, I = 47.3, hkl 0 0 2; 2θ 39.59, d 2.277, I = 56.5, hkl 1 5 0; 2θ 39.72, d 2.269, I = 75.5, hkl 1 3 -2; 2θ 42.89, d 2.108, I = 61.4, hkl 2 2 1; 2θ 43.49, d 2.081, I = 64.0, hkl 3 3 -2; 2θ 45.77, d 1.983, I = 68.8, hkl 3 3 0

Crystal structure
Cell lengths 8.148, 12.073, 5.646 Å; angles 90.00, 122.98, 90.00 degrees
Space group C2/c (No. 15)
One atom of each set of equivalent atoms:
Sc: 0.127 0.179 0.100 [8 per cell]
Sc: 0.202 0.437 0.280 [8 per cell]
Co: 0.000 0.001 0.750 [4 per cell]
Ni: 0.000 0.364 0.750 [4 per cell]

[4]
Computed powder diffraction line list of Sc2CoSi4Ni3 for CuKα, from a DFT-relaxed cell (PBE, Alexandria).

Main lines, sorted by position (10° ≤ 2θ ≤ 80°):
2θ 30.01, d 2.977, I = 12.2, hkl 1 0 2; 2θ 34.97, d 2.566, I = 20.7, hkl 1 1 1; 2θ 36.55, d 2.458, I = 49.5, hkl 1 0 3; 2θ 38.57, d 2.335, I = 100.0, hkl 1 1 2; 2θ 48.40, d 1.881, I = 60.0, hkl 2 0 0; 2θ 50.83, d 1.796, I = 37.8, hkl 1 1 4; 2θ 52.92, d 1.730, I = 27.9, hkl 1 0 5; 2θ 62.14, d 1.494, I = 18.7, hkl 2 1 3; 2θ 70.86, d 1.330, I = 17.8, hkl 2 2 0; 2θ 74.52, d 1.273, I = 18.8, hkl 2 1 5

Crystal structure
Cell lengths 3.762, 3.762, 9.743 Å; angles 90.00, 90.00, 90.00 degrees
Space group P-4m2 (No. 115)
One atom of each set of equivalent atoms:
Sc: 0.000 0.500 0.249 [2 per cell]
Co: 0.500 0.500 0.000 [1 per cell]
Si: 0.000 0.000 0.500 [1 per cell]
Si: 0.000 0.500 0.866 [2 per cell]
Si: 0.500 0.500 0.500 [1 per cell]
Ni: 0.000 0.000 0.000 [1 per cell]
Ni: 0.000 0.500 0.636 [2 per cell]

[5]
Computed powder diffraction line list of CoNi2Se4 for CuKα, from a DFT-relaxed cell (PBE, Alexandria).

Main lines, sorted by position (10° ≤ 2θ ≤ 80°):
2θ 15.43, d 5.743, I = 14.3, hkl 1 0 1; 2θ 25.32, d 3.517, I = 15.2, hkl 2 0 0; 2θ 29.79, d 2.999, I = 41.5, hkl 1 0 3; 2θ 31.15, d 2.872, I = 40.9, hkl 2 0 2; 2θ 36.12, d 2.487, I = 83.6, hkl 0 0 4; 2θ 47.49, d 1.914, I = 33.0, hkl 3 2 1; 2θ 52.01, d 1.758, I = 100.0, hkl 2 2 4; 2θ 61.87, d 1.500, I = 14.4, hkl 2 0 6; 2θ 64.95, d 1.436, I = 17.4, hkl 4 0 4; 2θ 76.57, d 1.244, I = 9.4, hkl 4 4 0

Crystal structure
Cell lengths 7.038, 7.038, 9.934 Å; angles 90.00, 90.00, 90.00 degrees
Space group P4_122 (No. 91)
One atom of each set of equivalent atoms:
Co: 0.000 0.250 0.000 [4 per cell]
Ni: 0.249 0.500 0.750 [4 per cell]
Ni: 0.251 0.251 0.375 [4 per cell]
Se: 0.018 0.246 0.760 [8 per cell]
Se: 0.246 0.480 0.992 [8 per cell]

[6]
Computed powder diffraction line list of Co3Ni3Se8 for CuKα, from a DFT-relaxed cell (PBE, Alexandria).

Main lines, sorted by position (10° ≤ 2θ ≤ 80°):
2θ 29.77, d 3.001, I = 12.3, hkl 0 1 5; 2θ 29.91, d 2.987, I = 37.1, hkl 1 1 3; 2θ 31.07, d 2.879, I = 12.2, hkl 0 0 6; 2θ 31.30, d 2.858, I = 37.9, hkl 2 0 2; 2θ 36.23, d 2.479, I = 100.0, hkl 0 2 4; 2θ 47.69, d 1.907, I = 27.9, hkl 0 3 3; 2θ 52.02, d 1.758, I = 59.7, hkl 2 0 8; 2θ 52.33, d 1.748, I = 60.0, hkl 2 2 0; 2θ 65.30, d 1.429, I = 15.8, hkl 4 0 4; 2θ 76.90, d 1.240, I = 16.9, hkl 0 4 8

Crystal structure
Cell lengths 6.9936, 6.9936, 17.2731 Å; angles 90.00, 90.00, 120.00 degrees
Space group R-3m (No. 166, hexagonal axes)
One atom of each set of equivalent atoms:
Co: 0.0000 0.5000 0.0000 [9 per cell]
Ni: 0.0000 0.0000 0.1256 [6 per cell]
Ni: 0.0000 0.0000 0.5000 [3 per cell]
Se: 0.0000 0.0000 0.2599 [6 per cell]
Se: 0.0230 0.5115 0.2546 [18 per cell]

[7]
Computed powder diffraction line list of CoNi3Se8 for CuKα, from a DFT-relaxed cell (PBE, Alexandria).

Main lines, sorted by position (10° ≤ 2θ ≤ 80°):
2θ 17.00, d 5.217, I = 68.1, hkl 0 0 1; 2θ 30.60, d 2.921, I = 18.8, hkl 4 0 -1; 2θ 32.21, d 2.779, I = 100.0, hkl 2 2 -1; 2θ 36.47, d 2.464, I = 64.5, hkl 4 0 1; 2θ 43.18, d 2.095, I = 65.8, hkl 2 2 -2; 2θ 47.72, d 1.906, I = 23.4, hkl 2 2 2; 2θ 51.15, d 1.786, I = 65.9, hkl 6 2 0; 2θ 51.21, d 1.784, I = 24.2, hkl 0 4 0; 2θ 63.88, d 1.457, I = 22.2, hkl 2 2 3; 2θ 64.49, d 1.445, I = 23.0, hkl 4 4 1

Crystal structure
Cell lengths 12.626, 7.135, 5.316 Å; angles 90.00, 101.07, 90.00 degrees
Space group C2/m (No. 12)
One atom of each set of equivalent atoms:
Co: 0.000 0.000 0.000 [2 per cell]
Ni: 0.000 0.500 0.000 [2 per cell]
Ni: 0.250 0.250 0.000 [4 per cell]
Se: 0.063 0.247 0.769 [8 per cell]
Se: 0.182 0.000 0.226 [4 per cell]
Se: 0.185 0.500 0.226 [4 per cell]

[8]
Computed powder diffraction line list of Co3NiSe4 for CuKα, from a DFT-relaxed cell (PBE, Alexandria).

Main lines, sorted by position (10° ≤ 2θ ≤ 80°):
2θ 16.96, d 5.228, I = 27.4, hkl 1 0 0; 2θ 29.59, d 3.019, I = 100.0, hkl 1 1 1; 2θ 38.50, d 2.338, I = 29.5, hkl 2 1 0; 2θ 42.34, d 2.134, I = 2.4, hkl 2 1 1; 2θ 49.30, d 1.849, I = 96.3, hkl 2 2 0; 2θ 52.51, d 1.743, I = 10.2, hkl 3 0 0; 2θ 58.55, d 1.576, I = 39.5, hkl 3 1 1; 2θ 72.29, d 1.307, I = 14.2, hkl 4 0 0; 2θ 74.88, d 1.268, I = 8.1, hkl 3 2 2; 2θ 79.99, d 1.199, I = 15.3, hkl 3 3 1

Crystal structure
Cell lengths 5.228, 5.228, 5.228 Å; angles 90.00, 90.00, 90.00 degrees
Space group P-43m (No. 215)
One atom of each set of equivalent atoms:
Co: 0.000 0.000 0.500 [3 per cell]
Ni: 0.000 0.000 0.000 [1 per cell]
Se: 0.263 0.263 0.263 [4 per cell]

[9]
Computed powder diffraction line list of Co23SiNi6 for CuKα, from a DFT-relaxed cell (PBE, Alexandria).

Main lines, sorted by position (10° ≤ 2θ ≤ 80°):
2θ 39.67, d 2.272, I = 10.8, hkl 4 2 2; 2θ 42.19, d 2.142, I = 45.2, hkl 3 3 3; 2θ 46.13, d 1.968, I = 100.0, hkl 4 4 0; 2θ 48.38, d 1.881, I = 15.3, hkl 5 3 1; 2θ 49.11, d 1.855, I = 7.6, hkl 6 0 0; 2θ 51.96, d 1.760, I = 7.5, hkl 6 2 0; 2θ 54.02, d 1.697, I = 7.9, hkl 5 3 3; 2θ 67.30, d 1.391, I = 6.5, hkl 8 0 0; 2θ 71.99, d 1.312, I = 7.2, hkl 6 6 0; 2θ 78.25, d 1.222, I = 6.5, hkl 7 5 3

Crystal structure
Cell lengths 11.131, 11.131, 11.131 Å; angles 90.00, 90.00, 90.00 degrees
Space group Fm-3m (No. 225)
One atom of each set of equivalent atoms:
Co: 0.000 0.000 0.000 [4 per cell]
Co: 0.000 0.250 0.250 [24 per cell]
Co: 0.119 0.119 0.119 [32 per cell]
Co: 0.168 0.168 0.332 [32 per cell]
Si: 0.000 0.000 0.500 [4 per cell]
Ni: 0.000 0.000 0.285 [24 per cell]

[10]
Computed powder diffraction line list of CoSiNi14 for CuKα, from a DFT-relaxed cell (PBE, Alexandria).

Main lines, sorted by position (10° ≤ 2θ ≤ 80°):
2θ 23.39, d 3.802, I = 1.4, hkl 1 0 2; 2θ 42.00, d 2.151, I = 10.3, hkl 0 0 4; 2θ 43.52, d 2.080, I = 40.2, hkl 1 2 2; 2θ 44.63, d 2.030, I = 35.7, hkl 4 0 0; 2θ 47.85, d 1.901, I = 100.0, hkl 2 2 2; 2θ 54.48, d 1.684, I = 19.7, hkl 3 2 2; 2θ 62.94, d 1.477, I = 5.6, hkl 4 0 4; 2θ 72.98, d 1.296, I = 7.8, hkl 5 0 4; 2θ 76.68, d 1.243, I = 12.7, hkl 0 2 6; 2θ 76.83, d 1.241, I = 6.3, hkl 0 4 0

Crystal structure
Cell lengths 8.122, 4.963, 8.615 Å; angles 90.00, 90.00, 90.00 degrees
Space group Amm2 (No. 38)
One atom of each set of equivalent atoms:
Co: 0.000 0.000 0.000 [2 per cell]
Si: 0.000 0.000 0.499 [2 per cell]
Ni: 0.000 0.248 0.248 [4 per cell]
Ni: 0.247 0.249 0.416 [8 per cell]
Ni: 0.248 0.000 0.664 [4 per cell]
Ni: 0.252 0.000 0.164 [4 per cell]
Ni: 0.500 0.000 0.332 [2 per cell]
Ni: 0.500 0.000 0.832 [2 per cell]
Ni: 0.500 0.249 0.581 [4 per cell]

[11]
Computed powder diffraction line list of CoSiNi5 for CuKα, from a DFT-relaxed cell (PBE, Alexandria).

Main lines, sorted by position (10° ≤ 2θ ≤ 80°):
2θ 22.20, d 4.004, I = 22.8, hkl 1 0 0; 2θ 31.60, d 2.831, I = 10.6, hkl 1 1 0; 2θ 34.89, d 2.572, I = 4.0, hkl 0 0 2; 2θ 41.74, d 2.164, I = 8.6, hkl 1 0 2; 2θ 45.29, d 2.002, I = 59.3, hkl 2 0 0; 2θ 47.78, d 1.904, I = 100.0, hkl 1 1 2; 2θ 51.00, d 1.791, I = 4.6, hkl 2 1 0; 2θ 63.28, d 1.470, I = 4.4, hkl 2 1 2; 2θ 65.99, d 1.416, I = 17.7, hkl 2 2 0; 2θ 73.68, d 1.286, I = 6.1, hkl 0 0 4

Crystal structure
Cell lengths 4.004, 4.004, 5.143 Å; angles 90.00, 90.00, 90.00 degrees
Space group P4/mmm (No. 123)
One atom of each set of equivalent atoms:
Co: 0.000 0.000 0.000 [1 per cell]
Si: 0.500 0.500 0.500 [1 per cell]
Ni: 0.000 0.000 0.500 [1 per cell]
Ni: 0.000 0.500 0.243 [4 per cell]

[12]
Computed powder diffraction line list of TbCoSi2Ni2 for CuKα, from a DFT-relaxed cell (PBE, Alexandria).

Main lines, sorted by position (10° ≤ 2θ ≤ 80°):
2θ 20.87, d 4.257, I = 18.2, hkl 1 0 0; 2θ 27.18, d 3.280, I = 20.9, hkl 1 0 1; 2θ 29.68, d 3.010, I = 84.5, hkl 1 1 0; 2θ 34.52, d 2.598, I = 31.4, hkl 1 1 1; 2θ 40.98, d 2.202, I = 100.0, hkl 1 0 2; 2θ 42.47, d 2.129, I = 60.8, hkl 2 0 0; 2θ 60.49, d 1.531, I = 60.7, hkl 2 1 2; 2θ 61.62, d 1.505, I = 19.3, hkl 2 2 0; 2θ 69.87, d 1.346, I = 13.5, hkl 3 1 0; 2θ 76.69, d 1.243, I = 14.7, hkl 3 0 2

Crystal structure
Cell lengths 4.257, 4.257, 5.147 Å; angles 90.00, 90.00, 90.00 degrees
Space group P4/mmm (No. 123)
One atom of each set of equivalent atoms:
Tb: 0.000 0.000 0.000 [1 per cell]
Co: 0.000 0.000 0.500 [1 per cell]
Si: 0.000 0.500 0.500 [2 per cell]
Ni: 0.500 0.500 0.248 [2 per cell]